Diffraction record for BaScAs2O8. The X-ray powder pattern is theoretical, not measured: it uses DFT lattice parameters and positions (PBE) and a wavelength of 1.5418 Å.
Peak positions follow from Bragg's law for the DFT cell and can differ from measured ones.

Structure:
```
data_BaScAs2O8
_space_group_name_H-M_alt 'P -3'
_space_group_IT_number 147
_cell_length_a 5.5921
_cell_length_b 5.5921
_cell_length_c 7.5431
_cell_angle_alpha 90.00
_cell_angle_beta 90.00
_cell_angle_gamma 120.00
loop_
_space_group_symop_operation_xyz
'x,y,z'
'-x,-y,-z'
'-y,x-y,z'
'y,-x+y,-z'
'-x+y,-x,z'
'x-y,x,-z'
loop_
_atom_site_label
_atom_site_fract_x
_atom_site_fract_y
_atom_site_fract_z
Ba1 0.0000 0.0000 0.0000
Sc1 0.0000 0.0000 0.5000
As1 0.3333 0.6667 0.7463
O1 0.1640 0.3299 0.6786
O2 0.3333 0.6667 0.9744
```

Largest 8 diffraction maxima, sorted by position, 10° ≤ 2θ ≤ 90°:
Position (°2θ), d/Å, I/Imax
18.32, 4.843, 24
21.81, 4.075, 100
30.03, 2.976, 73
32.01, 2.796, 66
44.46, 2.038, 36
51.37, 1.779, 19
55.83, 1.647, 26
59.09, 1.563, 25

=====

Diffraction record for BaSc3As4O12. The X-ray powder pattern is theoretical, not measured: it uses DFT lattice parameters and positions (PBE) and a wavelength of 1.5418 Å.
Peak positions follow from Bragg's law for the DFT cell and can differ from measured ones.

Structure:
```
data_BaSc3As4O12
_space_group_name_H-M_alt 'R 3 2'
_space_group_IT_number 155
_space_group_name_Hall 'R 3 2"'
_cell_length_a 11.0357
_cell_length_b 11.0357
_cell_length_c 8.3594
_cell_angle_alpha 90.00
_cell_angle_beta 90.00
_cell_angle_gamma 120.00
loop_
_atom_site_label
_atom_site_fract_x
_atom_site_fract_y
_atom_site_fract_z
Ba1 0.0000 0.0000 0.0000
Sc1 0.0000 0.5768 0.0000
As1 0.0000 0.0000 0.5000
As2 0.0000 0.4034 0.5000
O1 0.0000 0.5650 0.5000
O2 0.0000 0.8228 0.5000
O3 0.0528 0.2038 0.2212
```

Largest 8 diffraction maxima, sorted by position, 10° ≤ 2θ ≤ 90°:
Position (°2θ), d/Å, I/Imax
26.89, 3.316, 35
28.01, 3.186, 43
28.37, 3.146, 100
32.77, 2.733, 27
35.53, 2.527, 30
36.11, 2.487, 26
46.79, 1.942, 32
52.65, 1.738, 27

=====

Diffraction record for Ba2AsSe4O3. The X-ray powder pattern is theoretical, not measured: it uses DFT lattice parameters and positions (PBE) and a wavelength of 1.5418 Å.
Peak positions follow from Bragg's law for the DFT cell and can differ from measured ones.

Structure:
```
data_Ba2AsSe4O3
_space_group_name_H-M_alt 'C 1 m 1'
_space_group_IT_number 8
_cell_length_a 9.2214
_cell_length_b 8.8049
_cell_length_c 7.7154
_cell_angle_alpha 90.00
_cell_angle_beta 117.65
_cell_angle_gamma 90.00
loop_
_space_group_symop_operation_xyz
'x,y,z'
'x,-y,z'
'x+1/2,y+1/2,z'
'x+1/2,-y+1/2,z'
loop_
_atom_site_label
_atom_site_fract_x
_atom_site_fract_y
_atom_site_fract_z
Ba1 0.0000 0.2325 0.0000
As1 0.4094 0.0000 0.4870
Se1 0.2304 0.2015 0.5105
Se2 0.3103 0.5000 0.5250
Se3 0.3201 0.0000 0.1384
O1 0.2316 0.4212 0.9950
O2 0.4603 0.5000 0.7706
```

Largest 8 diffraction maxima, sorted by position, 10° ≤ 2θ ≤ 90°:
Position (°2θ), d/Å, I/Imax
19.47, 4.559, 67
24.05, 3.701, 30
26.08, 3.417, 94
28.18, 3.167, 100
29.84, 2.994, 36
30.26, 2.954, 32
32.38, 2.765, 30
36.64, 2.453, 32

=====

Diffraction record for BaSiAs2O8. The X-ray powder pattern is theoretical, not measured: it uses DFT lattice parameters and positions (PBE) and a wavelength of 1.5418 Å.
Peak positions follow from Bragg's law for the DFT cell and can differ from measured ones.

Structure:
```
data_BaSiAs2O8
_space_group_name_H-M_alt 'R 3 2'
_space_group_IT_number 155
_space_group_name_Hall 'R 3 2"'
_cell_length_a 5.0005
_cell_length_b 5.0005
_cell_length_c 24.3819
_cell_angle_alpha 90.00
_cell_angle_beta 90.00
_cell_angle_gamma 120.00
loop_
_atom_site_label
_atom_site_fract_x
_atom_site_fract_y
_atom_site_fract_z
Ba1 0.0000 0.0000 0.0000
Si1 0.0000 0.0000 0.5000
As1 0.0000 0.0000 0.2341
O1 0.0000 0.0000 0.3040
O2 0.0313 0.4219 0.1185
```

Largest 8 diffraction maxima, sorted by position, 10° ≤ 2θ ≤ 90°:
Position (°2θ), d/Å, I/Imax
25.23, 3.530, 100
27.55, 3.238, 17
33.06, 2.709, 15
35.92, 2.500, 35
36.04, 2.492, 16
44.40, 2.040, 13
58.38, 1.581, 17
64.60, 1.443, 16

=====

Diffraction record for Ba2Sn2As2O. The X-ray powder pattern is theoretical, not measured: it uses DFT lattice parameters and positions (PBE) and a wavelength of 1.5418 Å.
Peak positions follow from Bragg's law for the DFT cell and can differ from measured ones.

Structure:
```
data_Ba2Sn2As2O
_space_group_name_H-M_alt 'P -1'
_space_group_IT_number 2
_cell_length_a 3.8912
_cell_length_b 7.5307
_cell_length_c 7.9776
_cell_angle_alpha 70.86
_cell_angle_beta 76.14
_cell_angle_gamma 89.83
loop_
_space_group_symop_operation_xyz
'x,y,z'
'-x,-y,-z'
loop_
_atom_site_label
_atom_site_fract_x
_atom_site_fract_y
_atom_site_fract_z
Ba1 0.0261 0.2897 0.4459
Sn1 0.2622 0.2242 0.9679
As1 0.3609 0.9611 0.7802
O1 0.5000 0.5000 0.5000
```

Largest 8 diffraction maxima, sorted by position, 10° ≤ 2θ ≤ 90°:
Position (°2θ), d/Å, I/Imax
24.41, 3.646, 40
27.73, 3.217, 51
27.89, 3.199, 51
28.60, 3.121, 100
29.32, 3.047, 49
29.49, 3.029, 50
31.13, 2.873, 41
34.60, 2.592, 51

=====

Diffraction record for Ba3TaAs3O. The X-ray powder pattern is theoretical, not measured: it uses DFT lattice parameters and positions (PBE) and a wavelength of 1.5418 Å.
Peak positions follow from Bragg's law for the DFT cell and can differ from measured ones.

Structure:
```
data_Ba3TaAs3O
_space_group_name_H-M_alt 'P n m a'
_space_group_IT_number 62
_cell_length_a 6.8176
_cell_length_b 11.2458
_cell_length_c 13.6874
_cell_angle_alpha 90.00
_cell_angle_beta 90.00
_cell_angle_gamma 90.00
loop_
_space_group_symop_operation_xyz
'x,y,z'
'-x,-y,-z'
'-x+1/2,-y,z+1/2'
'x+1/2,y,-z+1/2'
'x+1/2,-y+1/2,-z+1/2'
'-x+1/2,y+1/2,z+1/2'
'-x,y+1/2,-z'
'x,-y+1/2,z'
loop_
_atom_site_label
_atom_site_fract_x
_atom_site_fract_y
_atom_site_fract_z
Ba1 0.2283 0.2500 0.1291
Ba2 0.2439 0.5449 0.3693
Ta1 0.1612 0.2500 0.5454
As1 0.2289 0.2500 0.3670
As2 0.2372 0.5562 0.1179
O1 0.1142 0.7500 0.4472
```

Largest 8 diffraction maxima, sorted by position, 10° ≤ 2θ ≤ 90°:
Position (°2θ), d/Å, I/Imax
24.29, 3.664, 53
24.62, 3.615, 54
26.04, 3.422, 62
26.14, 3.409, 100
31.83, 2.811, 37
36.22, 2.480, 47
37.23, 2.415, 54
40.84, 2.210, 67

=====

Diffraction record for BaTc2AsO8. The X-ray powder pattern is theoretical, not measured: it uses DFT lattice parameters and positions (PBE) and a wavelength of 1.5418 Å.
Peak positions follow from Bragg's law for the DFT cell and can differ from measured ones.

Structure:
```
data_BaTc2AsO8
_space_group_name_H-M_alt 'R 3 2'
_space_group_IT_number 155
_space_group_name_Hall 'R 3 2"'
_cell_length_a 5.2131
_cell_length_b 5.2131
_cell_length_c 24.4051
_cell_angle_alpha 90.00
_cell_angle_beta 90.00
_cell_angle_gamma 120.00
loop_
_atom_site_label
_atom_site_fract_x
_atom_site_fract_y
_atom_site_fract_z
Ba1 0.0000 0.0000 0.0000
Tc1 0.0000 0.0000 0.2451
As1 0.0000 0.0000 0.5000
O1 0.0000 0.0000 0.3188
O2 0.0094 0.3216 0.4427
```

Largest 8 diffraction maxima, sorted by position, 10° ≤ 2θ ≤ 90°:
Position (°2θ), d/Å, I/Imax
24.53, 3.629, 100
34.41, 2.607, 40
35.52, 2.528, 31
42.71, 2.117, 21
50.28, 1.815, 12
55.95, 1.643, 20
57.47, 1.603, 20
62.35, 1.489, 13

=====

Diffraction record for BaTiAsO2. The X-ray powder pattern is theoretical, not measured: it uses DFT lattice parameters and positions (PBE) and a wavelength of 1.5418 Å.
Peak positions follow from Bragg's law for the DFT cell and can differ from measured ones.

Structure:
```
data_BaTiAsO2
_space_group_name_H-M_alt 'C m c m'
_space_group_IT_number 63
_space_group_name_Hall '-C 2c 2'
_cell_length_a 3.9109
_cell_length_b 12.9611
_cell_length_c 7.4043
_cell_angle_alpha 90.00
_cell_angle_beta 90.00
_cell_angle_gamma 90.00
loop_
_atom_site_label
_atom_site_fract_x
_atom_site_fract_y
_atom_site_fract_z
Ba1 0.0000 0.2281 0.2500
Ti1 0.0000 0.5000 0.0000
As1 0.0000 0.0290 0.7500
O1 0.0000 0.3585 0.5393
```

Largest 8 diffraction maxima, sorted by position, 10° ≤ 2θ ≤ 90°:
Position (°2θ), d/Å, I/Imax
24.04, 3.702, 35
26.68, 3.341, 78
27.53, 3.240, 52
30.10, 2.968, 37
33.18, 2.700, 100
34.06, 2.633, 89
36.86, 2.438, 31
48.80, 1.866, 44

=====

Diffraction record for Ba3TlAs2O8. The X-ray powder pattern is theoretical, not measured: it uses DFT lattice parameters and positions (PBE) and a wavelength of 1.5418 Å.
Peak positions follow from Bragg's law for the DFT cell and can differ from measured ones.

Structure:
```
data_Ba3TlAs2O8
_space_group_name_H-M_alt 'P -3 m 1'
_space_group_IT_number 164
_space_group_name_Hall '-P 3 2"'
_cell_length_a 5.8336
_cell_length_b 5.8336
_cell_length_c 9.7709
_cell_angle_alpha 90.00
_cell_angle_beta 90.00
_cell_angle_gamma 120.00
loop_
_atom_site_label
_atom_site_fract_x
_atom_site_fract_y
_atom_site_fract_z
Ba1 0.0000 0.0000 0.0000
Ba2 0.3333 0.6667 0.7311
Tl1 0.0000 0.0000 0.5000
As1 0.3333 0.6667 0.1662
O1 0.1726 0.3451 0.2258
O2 0.3333 0.6667 0.9893
```

Largest 8 diffraction maxima, sorted by position, 10° ≤ 2θ ≤ 90°:
Position (°2θ), d/Å, I/Imax
25.36, 3.512, 100
30.65, 2.917, 70
36.77, 2.444, 17
40.19, 2.244, 35
48.61, 1.873, 19
51.38, 1.778, 28
54.49, 1.684, 14
69.85, 1.347, 15

=====

Diffraction record for BaTmAs2O8. The X-ray powder pattern is theoretical, not measured: it uses DFT lattice parameters and positions (PBE) and a wavelength of 1.5418 Å.
Peak positions follow from Bragg's law for the DFT cell and can differ from measured ones.

Structure:
```
data_BaTmAs2O8
_space_group_name_H-M_alt 'P -3'
_space_group_IT_number 147
_cell_length_a 5.6731
_cell_length_b 5.6731
_cell_length_c 7.6985
_cell_angle_alpha 90.00
_cell_angle_beta 90.00
_cell_angle_gamma 120.00
loop_
_space_group_symop_operation_xyz
'x,y,z'
'-x,-y,-z'
'-y,x-y,z'
'y,-x+y,-z'
'-x+y,-x,z'
'x-y,x,-z'
loop_
_atom_site_label
_atom_site_fract_x
_atom_site_fract_y
_atom_site_fract_z
Ba1 0.0000 0.0000 0.0000
Tm1 0.0000 0.0000 0.5000
As1 0.3333 0.6667 0.7572
O1 0.1629 0.3355 0.6892
O2 0.3333 0.6667 0.9811
```

Largest 8 diffraction maxima, sorted by position, 10° ≤ 2θ ≤ 90°:
Position (°2θ), d/Å, I/Imax
18.06, 4.913, 66
21.46, 4.142, 60
29.48, 3.030, 100
31.54, 2.837, 72
43.71, 2.071, 45
54.90, 1.673, 36
57.90, 1.593, 27
73.77, 1.284, 16